(1)
Computed powder XRD pattern of Pu2TiReN6 for Cu Kα (λ = 1.5418 Å), from a DFT-relaxed cell (PBE, Alexandria).

Largest 10 diffraction maxima, in order of falling intensity, 2θ from 10° to 90°:
2θ/deg	Rel. int.	h k l
32.77	100	1 1 -3
32.63	100	1 1 1
33.51	80	2 0 -2
25.61	37	1 1 -2
31.42	37	0 2 0
52.52	31	1 3 0
46.57	29	2 2 -2
47.26	25	0 0 4
59.49	21	3 1 -5
59.22	20	3 1 -1

Cell: 5.3533 5.6946 9.3461 Å, 90.00 124.60 90.00°
Space group P2_1/c (No. 14)
Symmetry-distinct sites (fractional):
Pu  0.2305  0.0710  0.2459 (multiplicity 4)
Ti  0.0000  0.0000  0.5000 (multiplicity 2)
Re  0.5000  0.0000  0.0000 (multiplicity 2)
N  0.1375  0.1903  0.9484 (multiplicity 4)
N  0.2578  0.6983  0.9426 (multiplicity 4)
N  0.3565  0.0368  0.7513 (multiplicity 4)

(2)
Computed powder XRD pattern of SrPu2RhN4 for Cu Kα (λ = 1.5418 Å), from a DFT-relaxed cell (PBE, Alexandria).

Largest 10 diffraction maxima, in order of falling intensity, 2θ from 10° to 90°:
2θ/deg	Rel. int.	h k l
30.22	100	1 1 2
27.09	84	0 2 3
37.52	75	1 3 2
34.63	61	1 1 3
34.34	54	1 3 0
17.00	50	0 2 1
40.68	45	0 2 5
30.88	44	0 4 0
52.40	40	1 5 3
35.12	38	1 3 1

Cell: 3.5547 11.5821 12.0045 Å, 90.00 90.00 90.00°
Space group Cmcm (No. 63)
Symmetry-distinct sites (fractional):
Sr  0.0000  0.0789  0.2500 (multiplicity 4)
Pu  0.0000  0.3680  0.0540 (multiplicity 8)
Rh  0.0000  0.1881  0.7500 (multiplicity 4)
N  0.0000  0.0000  0.0000 (multiplicity 4)
N  0.0000  0.2493  0.5917 (multiplicity 8)
N  0.0000  0.4071  0.2500 (multiplicity 4)

(3)
Computed powder XRD pattern of Pu5S5N for Cu Kα (λ = 1.5418 Å), from a DFT-relaxed cell (PBE, Alexandria).

Largest 10 diffraction maxima, in order of falling intensity, 2θ from 10° to 90°:
2θ/deg	Rel. int.	h k l
32.79	100	0 2 0
28.37	76	1 1 -2
28.06	75	3 1 0
32.48	47	4 0 -2
47.06	36	2 2 2
46.80	34	4 2 -2
55.61	32	3 3 0
12.15	23	0 0 1
17.89	21	1 1 0
58.69	18	2 2 -4

Cell: 12.3810 5.4694 7.6931 Å, 90.00 108.71 90.00°
Space group C2/m (No. 12)
Symmetry-distinct sites (fractional):
Pu  0.0000  0.0000  0.0000 (multiplicity 2)
Pu  0.1479  0.5000  0.8418 (multiplicity 4)
Pu  0.1548  0.5000  0.3141 (multiplicity 4)
S  0.0000  0.5000  0.5000 (multiplicity 2)
S  0.1685  0.0000  0.8370 (multiplicity 4)
S  0.1831  0.0000  0.3295 (multiplicity 4)
N  0.0000  0.5000  0.0000 (multiplicity 2)

(4)
Computed powder XRD pattern of Pu4S5N for Cu Kα (λ = 1.5418 Å), from a DFT-relaxed cell (PBE, Alexandria).

Largest 10 diffraction maxima, in order of falling intensity, 2θ from 10° to 90°:
2θ/deg	Rel. int.	h k l
44.52	100	1 2 5
27.48	97	0 2 2
28.94	89	1 1 2
35.29	88	1 2 1
21.39	74	0 0 4
28.66	64	1 0 3
45.14	46	1 0 7
29.72	43	0 1 5
13.64	35	0 1 1
24.23	34	1 0 1

Cell: 3.7668 7.0505 16.6193 Å, 90.00 90.00 90.00°
Space group Immm (No. 71)
Symmetry-distinct sites (fractional):
Pu  0.0000  0.0000  0.2074 (multiplicity 4)
Pu  0.0000  0.2823  0.5000 (multiplicity 4)
S  0.0000  0.2435  0.3376 (multiplicity 8)
S  0.0000  0.5000  0.0000 (multiplicity 2)
N  0.0000  0.0000  0.0000 (multiplicity 2)

(5)
Computed powder XRD pattern of Pu3S3N for Cu Kα (λ = 1.5418 Å), from a DFT-relaxed cell (PBE, Alexandria).

Largest 10 diffraction maxima, in order of falling intensity, 2θ from 10° to 90°:
2θ/deg	Rel. int.	h k l
27.98	100	0 1 3
29.23	100	2 1 1
29.04	99	1 2 -1
26.30	61	2 0 -2
45.24	46	1 3 2
35.82	31	1 1 -4
25.34	28	1 1 2
37.83	28	3 1 0
53.82	26	4 0 2
44.36	26	2 0 4

Cell: 7.7117 6.9017 10.9482 Å, 90.00 99.77 90.00°
Space group P2_1/c (No. 14)
Symmetry-distinct sites (fractional):
Pu  0.0677  0.0636  0.3611 (multiplicity 4)
Pu  0.2496  0.6156  0.5058 (multiplicity 4)
Pu  0.3907  0.0740  0.6586 (multiplicity 4)
S  0.0989  0.1796  0.1190 (multiplicity 4)
S  0.2730  0.7392  0.7756 (multiplicity 4)
S  0.4055  0.2407  0.9161 (multiplicity 4)
N  0.1799  0.5794  0.0368 (multiplicity 4)

(6)
Computed powder XRD pattern of PuThS2N for Cu Kα (λ = 1.5418 Å), from a DFT-relaxed cell (PBE, Alexandria).

Largest 10 diffraction maxima, in order of falling intensity, 2θ from 10° to 90°:
2θ/deg	Rel. int.	h k l
25.79	100	1 0 2
31.76	44	1 1 0
53.06	35	2 1 2
41.31	24	1 1 4
34.32	22	1 0 4
45.54	18	2 0 0
12.78	14	0 0 2
51.16	12	1 1 6
76.72	9	1 1 10
72.45	9	3 0 2

Cell: 3.9840 3.9840 13.8509 Å, 90.00 90.00 90.00°
Space group P4/nmm (No. 129, origin choice 2)
Symmetry-distinct sites (fractional):
Pu  0.2500  0.2500  0.1125 (multiplicity 2)
Th  0.2500  0.2500  0.5879 (multiplicity 2)
S  0.2500  0.2500  0.2994 (multiplicity 2)
S  0.2500  0.2500  0.9082 (multiplicity 2)
N  0.2500  0.7500  0.5000 (multiplicity 2)

(7)
Computed powder XRD pattern of PuUSN2 for Cu Kα (λ = 1.5418 Å), from a DFT-relaxed cell (PBE, Alexandria).

Largest 10 diffraction maxima, in order of falling intensity, 2θ from 10° to 90°:
2θ/deg	Rel. int.	h k l
33.01	100	1 0 3
24.84	53	1 0 1
33.68	47	1 1 0
59.81	38	2 1 3
46.02	26	1 1 4
48.37	21	2 0 0
58.52	15	1 1 6
60.38	15	1 0 7
30.43	14	0 0 4
80.88	13	2 1 7

Cell: 3.7636 3.7636 11.7498 Å, 90.00 90.00 90.00°
Space group I4mm (No. 107)
Symmetry-distinct sites (fractional):
Pu  0.0000  0.0000  0.0000 (multiplicity 2)
U  0.0000  0.0000  0.2973 (multiplicity 2)
S  0.0000  0.0000  0.6464 (multiplicity 2)
N  0.0000  0.5000  0.3892 (multiplicity 4)

(8)
Computed powder XRD pattern of Pu6Sb3N for Cu Kα (λ = 1.5418 Å), from a DFT-relaxed cell (PBE, Alexandria).

Largest 10 diffraction maxima, in order of falling intensity, 2θ from 10° to 90°:
2θ/deg	Rel. int.	h k l
36.07	100	2 0 2
31.30	82	4 0 -1
32.68	57	2 0 -3
30.41	54	0 2 1
37.97	53	2 2 1
32.93	43	2 2 0
32.23	33	2 2 -1
43.10	28	4 2 -2
25.85	26	1 1 -2
12.09	24	0 0 1

Cell: 11.5109 6.4189 8.2208 Å, 90.00 117.07 90.00°
Space group C2/m (No. 12)
Symmetry-distinct sites (fractional):
Pu  0.0822  0.2493  0.3655 (multiplicity 8)
Pu  0.1997  0.5000  0.8297 (multiplicity 4)
Sb  0.0000  0.0000  0.0000 (multiplicity 2)
Sb  0.2054  0.0000  0.7377 (multiplicity 4)
N  0.0000  0.5000  0.5000 (multiplicity 2)

Repeat the eighth record exactly.
Computed powder XRD pattern of Pu6Sb3N for Cu Kα (λ = 1.5418 Å), from a DFT-relaxed cell (PBE, Alexandria).

Largest 10 diffraction maxima, in order of falling intensity, 2θ from 10° to 90°:
2θ/deg	Rel. int.	h k l
36.07	100	2 0 2
31.30	82	4 0 -1
32.68	57	2 0 -3
30.41	54	0 2 1
37.97	53	2 2 1
32.93	43	2 2 0
32.23	33	2 2 -1
43.10	28	4 2 -2
25.85	26	1 1 -2
12.09	24	0 0 1

Cell: 11.5109 6.4189 8.2208 Å, 90.00 117.07 90.00°
Space group C2/m (No. 12)
Symmetry-distinct sites (fractional):
Pu  0.0822  0.2493  0.3655 (multiplicity 8)
Pu  0.1997  0.5000  0.8297 (multiplicity 4)
Sb  0.0000  0.0000  0.0000 (multiplicity 2)
Sb  0.2054  0.0000  0.7377 (multiplicity 4)
N  0.0000  0.5000  0.5000 (multiplicity 2)

What did the eighth record say?
Computed powder XRD pattern of Pu6Sb3N for Cu Kα (λ = 1.5418 Å), from a DFT-relaxed cell (PBE, Alexandria).

Largest 10 diffraction maxima, in order of falling intensity, 2θ from 10° to 90°:
2θ/deg	Rel. int.	h k l
36.07	100	2 0 2
31.30	82	4 0 -1
32.68	57	2 0 -3
30.41	54	0 2 1
37.97	53	2 2 1
32.93	43	2 2 0
32.23	33	2 2 -1
43.10	28	4 2 -2
25.85	26	1 1 -2
12.09	24	0 0 1

Cell: 11.5109 6.4189 8.2208 Å, 90.00 117.07 90.00°
Space group C2/m (No. 12)
Symmetry-distinct sites (fractional):
Pu  0.0822  0.2493  0.3655 (multiplicity 8)
Pu  0.1997  0.5000  0.8297 (multiplicity 4)
Sb  0.0000  0.0000  0.0000 (multiplicity 2)
Sb  0.2054  0.0000  0.7377 (multiplicity 4)
N  0.0000  0.5000  0.5000 (multiplicity 2)